Structure and simulated X-ray diffraction stick pattern of MgZn2 (a crystal structure in the Materials Project, relaxed with PBE; copper Kα).
Lines closer than 0.1° are merged.

Largest 10 diffraction maxima, most intense first, 10° ≤ 2θ ≤ 80°:
d = 2.260 Å, rel. 1000; d = 2.251 Å, rel. 990; d = 2.242 Å, rel. 633; d = 2.610 Å, rel. 596; d = 2.220 Å, rel. 465; d = 2.203 Å, rel. 455; d = 1.481 Å, rel. 320; d = 2.543 Å, rel. 304; d = 4.483 Å, rel. 281; d = 1.294 Å, rel. 224

Cell and atoms:
abc: 5.3930 5.3930 6.7495
angles: 101.20 101.20 32.76
Positions (direct):
Mg  0.0000  0.0000  0.0000
Mg  0.6781  0.6781  0.3507
Zn  0.2820  0.2820  0.0625
Zn  0.3413  0.3413  0.6794
Zn  0.6217  0.6217  0.7343
Zn  0.9520  0.9520  0.4056